Starting from DFT lattice parameters and positions (GGA-PBE), the X-ray powder pattern of Sr2FePbN was computed for Cu Ka.
No peak broadening, texture or thermal motion is included.

Most intense lines, 10 to 90 degrees two-theta, most intense first:
- hkl 1 1 1, 33.1°, d = 2.703 Å, I 1000
- hkl 2 0 0, 31.3°, d = 2.857 Å, I 659
- hkl 3 1 1, 56.9°, d = 1.618 Å, I 429
- hkl 1 0 0, 15.5°, d = 5.713 Å, I 258
- hkl 2 2 0, 44.9°, d = 2.020 Å, I 242
- hkl 2 0 2, 60.3°, d = 1.534 Å, I 198
- hkl 1 0 1, 29.1°, d = 3.068 Å, I 192
- hkl 2 1 1, 43.3°, d = 2.091 Å, I 135
- hkl 2 2 2, 69.6°, d = 1.352 Å, I 129
- hkl 4 2 0, 74.2°, d = 1.277 Å, I 108

Structure:
```
data_Sr2FePbN
_cell_length_a 5.713
_cell_length_b 5.713
_cell_length_c 3.637
_cell_angle_alpha 90.00
_cell_angle_beta 90.00
_cell_angle_gamma 90.00
_space_group_name_H-M_alt 'P 4/m m m'
_space_group_IT_number 123
_space_group_name_Hall '-P 4 2'
loop_
_atom_site_label
_atom_site_fract_x
_atom_site_fract_y
_atom_site_fract_z
Sr1 0.000 0.500 0.000
Fe1 0.000 0.000 0.500
Pb1 0.500 0.500 0.500
N1 0.000 0.000 0.000
```

---

Starting from DFT lattice parameters and positions (GGA-PBE), the X-ray powder pattern of TiTcW was computed for Cu Ka.
No peak broadening, texture or thermal motion is included.

Most intense lines, 10 to 90 degrees two-theta, most intense first:
- hkl 1 1 3, 40.7°, d = 2.215 Å, I 1000
- hkl 0 2 0, 40.3°, d = 2.237 Å, I 258
- hkl 0 0 6, 40.9°, d = 2.208 Å, I 247
- hkl 2 0 6, 74.4°, d = 1.275 Å, I 247
- hkl 0 1 1, 21.0°, d = 4.239 Å, I 216
- hkl 1 3 3, 73.6°, d = 1.287 Å, I 185
- hkl 0 2 6, 58.8°, d = 1.571 Å, I 167
- hkl 0 0 2, 13.4°, d = 6.623 Å, I 119
- hkl 2 2 6, 88.2°, d = 1.107 Å, I 109
- hkl 2 2 0, 74.1°, d = 1.280 Å, I 84

Structure:
```
data_TiTcW
_cell_length_a 3.122
_cell_length_b 4.474
_cell_length_c 13.245
_cell_angle_alpha 90.00
_cell_angle_beta 90.00
_cell_angle_gamma 90.00
_space_group_name_H-M_alt 'A m m 2'
_space_group_IT_number 38
_space_group_name_Hall 'A 2 -2'
loop_
_atom_site_label
_atom_site_fract_x
_atom_site_fract_y
_atom_site_fract_z
Ti1 0.000 0.000 0.000
Ti2 0.000 0.000 0.332
Tc1 0.500 0.000 0.165
Tc2 0.500 0.000 0.500
W1 0.000 0.000 0.663
W2 0.500 0.000 0.830
```

---

Starting from DFT lattice parameters and positions (GGA-PBE), the X-ray powder pattern of AcPPd2 was computed for Cu Ka.
No peak broadening, texture or thermal motion is included.

Most intense lines, 10 to 90 degrees two-theta, most intense first:
- hkl 1 0 2, 35.6°, d = 2.520 Å, I 1000
- hkl 1 2 1, 39.1°, d = 2.302 Å, I 939
- hkl 1 1 0, 24.5°, d = 3.629 Å, I 632
- hkl 0 2 1, 33.7°, d = 2.661 Å, I 619
- hkl 2 2 1, 52.7°, d = 1.738 Å, I 524
- hkl 1 1 1, 28.7°, d = 3.110 Å, I 499
- hkl 2 0 0, 39.3°, d = 2.295 Å, I 475
- hkl 0 1 2, 33.3°, d = 2.688 Å, I 443
- hkl 1 2 3, 59.1°, d = 1.564 Å, I 257
- hkl 2 1 2, 52.4°, d = 1.745 Å, I 250

Structure:
```
data_AcPPd2
_cell_length_a 4.589
_cell_length_b 5.930
_cell_length_c 6.030
_cell_angle_alpha 90.00
_cell_angle_beta 90.00
_cell_angle_gamma 90.00
_space_group_name_H-M_alt 'P m m n'
_space_group_IT_number 59
loop_
_space_group_symop_operation_xyz
'x,y,z'
'-x,-y,-z'
'-x+1/2,-y+1/2,z'
'x+1/2,y+1/2,-z'
'x+1/2,-y,-z'
'-x+1/2,y,z'
'-x,y+1/2,-z'
'x,-y+1/2,z'
loop_
_atom_site_label
_atom_site_fract_x
_atom_site_fract_y
_atom_site_fract_z
Ac1 0.250 0.250 0.117
P1 0.250 0.750 0.296
Pd1 0.250 0.015 0.625
```